Record 1
Starting from a cell relaxed with PBE, the powder XRD pattern of AcPu2PaO8 was simulated for Cu Ka.
Kinematic intensities with the Lorentz-polarization factor, no thermal factor.

Atomic structure:
```
data_AcPu2PaO8
_cell_length_a 7.490
_cell_length_b 7.490
_cell_length_c 7.457
_cell_angle_alpha 90.00
_cell_angle_beta 90.00
_cell_angle_gamma 90.00
_symmetry_space_group_name_H-M 'I -4 m 2'
_symmetry_Int_Tables_number 119
_symmetry_space_group_name_Hall 'I -4 -2'
loop_
_atom_site_label
_atom_site_type_symbol
_atom_site_fract_x
_atom_site_fract_y
_atom_site_fract_z
Ac1 Ac 0.000 0.000 0.000
Pu1 Pu 0.000 0.000 0.500
Pu2 Pu 0.000 0.500 0.250
Pa1 Pa 0.000 0.500 0.750
O1 O 0.000 0.207 0.695
O2 O 0.000 0.328 0.034
```

Top 10 peaks for 5 to 70 degrees two-theta, low angle first:
d 3.745, 2θ 23.8, I = 96.0
d 3.049, 2θ 29.3, I = 100.0
d 2.648, 2θ 33.9, I = 30.7
d 1.999, 2θ 45.4, I = 72.2
d 1.872, 2θ 48.6, I = 16.0
d 1.675, 2θ 54.8, I = 18.3
d 1.669, 2θ 55.0, I = 20.0
d 1.596, 2θ 57.8, I = 20.1
d 1.524, 2θ 60.8, I = 13.8
d 1.367, 2θ 68.7, I = 18.6


Record 2
Starting from a cell relaxed with PBE, the powder XRD pattern of RbAcPa2O8 was simulated for Cu Ka.
Kinematic intensities with the Lorentz-polarization factor, no thermal factor.

Atomic structure:
```
data_RbAcPa2O8
_cell_length_a 5.799
_cell_length_b 5.799
_cell_length_c 10.968
_cell_angle_alpha 90.00
_cell_angle_beta 90.00
_cell_angle_gamma 90.00
_symmetry_space_group_name_H-M 'I -4 m 2'
_symmetry_Int_Tables_number 119
_symmetry_space_group_name_Hall 'I -4 -2'
loop_
_atom_site_label
_atom_site_type_symbol
_atom_site_fract_x
_atom_site_fract_y
_atom_site_fract_z
Rb1 Rb 0.000 0.000 0.000
Ac1 Ac 0.000 0.500 0.250
Pa1 Pa 0.000 0.000 0.500
Pa2 Pa 0.000 0.500 0.750
O1 O 0.205 0.239 0.629
```

Top 10 peaks for 5 to 70 degrees two-theta, low angle first:
d 5.126, 2θ 17.3, I = 12.1
d 3.284, 2θ 27.2, I = 100.0
d 2.899, 2θ 30.8, I = 25.1
d 2.742, 2θ 32.7, I = 10.5
d 2.050, 2θ 44.2, I = 18.6
d 1.992, 2θ 45.5, I = 33.2
d 1.739, 2θ 52.6, I = 33.4
d 1.670, 2θ 55.0, I = 14.7
d 1.642, 2θ 56.0, I = 10.8
d 1.450, 2θ 64.3, I = 6.0